For Rb3Pa3Te8Pd, a DFT-relaxed cell (PBE, Alexandria) gives the calculated PXRD pattern in this record (Cu Kα).
Lines closer than 0.1° are merged.

Cell and atoms:
a b c (Å): 8.697 8.697 10.040
angles (deg): 114.29 114.29 61.72
Fractional positions:
Rb1 0.000 0.000 0.000
Rb2 0.000 0.500 0.000
Rb3 0.500 0.000 0.000
Pa1 0.000 0.500 0.500
Pa2 0.500 0.000 0.500
Pa3 0.500 0.500 0.500
Te1 0.214 0.214 0.682
Te2 0.234 0.727 0.696
Te3 0.264 0.264 0.294
Te4 0.273 0.766 0.304
Te5 0.727 0.234 0.696
Te6 0.736 0.736 0.706
Te7 0.766 0.273 0.304
Te8 0.786 0.786 0.318
Pd1 0.000 0.000 0.500

Top 10 peaks for 10 to 90 degrees two-theta, by angle:
2theta, Rel. int.
10.04, 89
27.02, 100
27.22, 45
33.47, 34
35.72, 32
36.66, 17
40.44, 18
41.56, 36
44.31, 15
49.43, 17